# 1
Theoretical X-ray powder pattern
Compound: Nd4Ni2Sn
Radiation: λ = 1.5418 Å (Cu Kα)
Structure: a GGA-PBE-relaxed structure
Kinematic intensities with the Lorentz-polarization factor, no thermal factor.

Cell and atoms:
Cell lengths 8.9040, 8.9040, 6.9528 Å; angles 107.42, 107.42, 121.90 degrees
Sites, in units of the cell vectors:
Nd (0.0137, 0.9863, 0.5000)
Nd (0.1307, 0.7010, 0.8418)
Nd (0.4044, 0.5635, 0.1533)
Nd (0.5431, 0.9695, 0.7165)
Nd (0.5635, 0.4044, 0.6533)
Nd (0.7010, 0.1307, 0.3418)
Nd (0.9695, 0.5431, 0.2165)
Nd (0.9863, 0.0137, 0.0000)
Ni (0.2757, 0.9489, 0.3137)
Ni (0.6042, 0.7729, 0.9722)
Ni (0.7729, 0.6042, 0.4722)
Ni (0.9489, 0.2757, 0.8137)
Sn (0.2228, 0.4488, 0.5355)
Sn (0.4488, 0.2228, 0.0355)

Main lines, by angle (2θ from 10° to 90°):
27.20°, d 3.279, intensity 233; 28.13°, d 3.172, intensity 222; 28.62°, d 3.119, intensity 211; 31.62°, d 2.830, intensity 1000; 31.77°, d 2.817, intensity 270; 32.59°, d 2.748, intensity 327; 32.69°, d 2.739, intensity 334; 34.74°, d 2.582, intensity 279; 35.15°, d 2.553, intensity 478; 40.58°, d 2.223, intensity 300

# 2
Theoretical X-ray powder pattern
Compound: Nd3Zn2Ni9Sn
Radiation: λ = 1.5418 Å (Cu Kα)
Structure: a GGA-PBE-relaxed structure
Kinematic intensities with the Lorentz-polarization factor, no thermal factor.

Cell and atoms:
Cell lengths 5.2433, 5.2433, 11.7221 Å; angles 90.00, 90.00, 120.00 degrees
Sites, in units of the cell vectors:
Nd (0.0000, 0.0000, 0.0000)
Nd (0.3333, 0.6667, 0.7627)
Nd (0.6667, 0.3333, 0.2373)
Zn (0.3333, 0.6667, 0.1628)
Zn (0.6667, 0.3333, 0.8372)
Ni (0.0000, 0.5000, 0.0000)
Ni (0.1747, 0.3493, 0.3324)
Ni (0.1747, 0.8253, 0.3324)
Ni (0.3493, 0.1747, 0.6676)
Ni (0.5000, 0.0000, 0.0000)
Ni (0.5000, 0.5000, 0.0000)
Ni (0.6507, 0.8253, 0.3324)
Ni (0.8253, 0.1747, 0.6676)
Ni (0.8253, 0.6507, 0.6676)
Sn (0.0000, 0.0000, 0.5000)

Main lines, by angle (2θ from 10° to 90°):
24.80°, d 3.590, intensity 801; 30.17°, d 2.962, intensity 285; 34.20°, d 2.622, intensity 354; 40.47°, d 2.229, intensity 451; 41.48°, d 2.177, intensity 236; 42.71°, d 2.117, intensity 1000; 43.44°, d 2.083, intensity 322; 46.48°, d 1.954, intensity 348; 50.88°, d 1.795, intensity 371; 72.05°, d 1.311, intensity 242

# 3
Theoretical X-ray powder pattern
Compound: TbNdNi2
Radiation: λ = 1.5418 Å (Cu Kα)
Structure: a GGA-PBE-relaxed structure
Kinematic intensities with the Lorentz-polarization factor, no thermal factor.

Cell and atoms:
Cell lengths 3.8018, 4.2771, 5.5226 Å; angles 90.00, 110.06, 90.00 degrees
Sites, in units of the cell vectors:
Tb (0.0000, 0.0000, 0.0000)
Nd (0.2763, 0.5000, 0.5534)
Ni (0.5626, 0.5000, 0.1251)
Ni (0.7049, 0.0000, 0.4109)

Main lines, by angle (2θ from 10° to 90°):
27.02°, d 3.300, intensity 374; 32.68°, d 2.741, intensity 1000; 34.58°, d 2.594, intensity 256; 35.08°, d 2.558, intensity 417; 40.68°, d 2.218, intensity 169; 41.11°, d 2.196, intensity 507; 42.26°, d 2.139, intensity 278; 47.85°, d 1.901, intensity 193; 55.73°, d 1.649, intensity 183; 56.05°, d 1.641, intensity 216

# 4
Theoretical X-ray powder pattern
Compound: TbNdZnNi
Radiation: λ = 1.5418 Å (Cu Kα)
Structure: a GGA-PBE-relaxed structure
Kinematic intensities with the Lorentz-polarization factor, no thermal factor.

Cell and atoms:
Cell lengths 4.4516, 5.6662, 5.6662 Å; angles 40.15, 90.00, 90.00 degrees
Sites, in units of the cell vectors:
Tb (0.0000, 0.0000, 0.0000)
Nd (0.5000, 0.7175, 0.7175)
Zn (0.0000, 0.2933, 0.2933)
Ni (0.5000, 0.4241, 0.4241)

Main lines, by angle (2θ from 10° to 90°):
26.10°, d 3.415, intensity 372; 31.68°, d 2.824, intensity 1000; 33.68°, d 2.661, intensity 210; 34.21°, d 2.621, intensity 480; 39.45°, d 2.284, intensity 217; 39.91°, d 2.259, intensity 461; 40.53°, d 2.226, intensity 294; 46.71°, d 1.945, intensity 195; 54.05°, d 1.697, intensity 259; 63.53°, d 1.464, intensity 152

# 5
Theoretical X-ray powder pattern
Compound: NdThNi4
Radiation: λ = 1.5418 Å (Cu Kα)
Structure: a GGA-PBE-relaxed structure
Kinematic intensities with the Lorentz-polarization factor, no thermal factor.

Cell and atoms:
Cell lengths 3.8406, 4.0968, 7.0419 Å; angles 90.00, 90.00, 90.00 degrees
Sites, in units of the cell vectors:
Nd (0.0000, 0.0000, 0.0000)
Th (0.0000, 0.5000, 0.5000)
Ni (0.5000, 0.0000, 0.3345)
Ni (0.5000, 0.0000, 0.6655)
Ni (0.5000, 0.5000, 0.1697)
Ni (0.5000, 0.5000, 0.8303)

Main lines, by angle (2θ from 10° to 90°):
25.15°, d 3.541, intensity 251; 25.30°, d 3.521, intensity 120; 34.45°, d 2.603, intensity 1000; 34.56°, d 2.595, intensity 503; 44.22°, d 2.048, intensity 199; 44.48°, d 2.037, intensity 390; 47.34°, d 1.920, intensity 163; 57.30°, d 1.608, intensity 234; 66.98°, d 1.397, intensity 224; 79.66°, d 1.204, intensity 135

# 6
Theoretical X-ray powder pattern
Compound: Nd4TlNi
Radiation: λ = 1.5418 Å (Cu Kα)
Structure: a GGA-PBE-relaxed structure
Kinematic intensities with the Lorentz-polarization factor, no thermal factor.

Cell and atoms:
Cell lengths 5.9249, 7.1391, 8.6452 Å; angles 90.00, 104.49, 90.00 degrees
Sites, in units of the cell vectors:
Nd (0.1234, 0.2500, 0.0555)
Nd (0.2294, 0.7500, 0.3723)
Nd (0.3354, 0.5061, 0.7778)
Nd (0.3354, 0.9939, 0.7778)
Nd (0.6646, 0.0061, 0.2222)
Nd (0.6646, 0.4939, 0.2222)
Nd (0.7706, 0.2500, 0.6277)
Nd (0.8766, 0.7500, 0.9445)
Tl (0.2113, 0.2500, 0.4327)
Tl (0.7887, 0.7500, 0.5673)
Ni (0.3476, 0.7500, 0.0521)
Ni (0.6524, 0.2500, 0.9479)

Main lines, by angle (2θ from 10° to 90°):
29.43°, d 3.035, intensity 755; 30.00°, d 2.978, intensity 928; 30.31°, d 2.949, intensity 548; 31.18°, d 2.868, intensity 363; 31.98°, d 2.799, intensity 1000; 32.73°, d 2.736, intensity 574; 32.98°, d 2.716, intensity 881; 39.28°, d 2.294, intensity 240; 51.18°, d 1.785, intensity 286; 61.63°, d 1.505, intensity 247

# 7
Theoretical X-ray powder pattern
Compound: Nd6Tl2Ni
Radiation: λ = 1.5418 Å (Cu Kα)
Structure: a GGA-PBE-relaxed structure
Kinematic intensities with the Lorentz-polarization factor, no thermal factor.

Cell and atoms:
Cell lengths 9.0303, 9.0303, 3.8242 Å; angles 90.00, 90.00, 120.00 degrees
Sites, in units of the cell vectors:
Nd (0.0000, 0.4024, 0.0000)
Nd (0.0000, 0.7647, 0.5000)
Nd (0.2353, 0.2353, 0.5000)
Nd (0.4024, 0.0000, 0.0000)
Nd (0.5976, 0.5976, 0.0000)
Nd (0.7647, 0.0000, 0.5000)
Tl (0.3333, 0.6667, 0.5000)
Tl (0.6667, 0.3333, 0.5000)
Ni (0.0000, 0.0000, 0.0000)

Main lines, by angle (2θ from 10° to 90°):
30.24°, d 2.956, intensity 779; 30.64°, d 2.918, intensity 1000; 32.76°, d 2.734, intensity 729; 34.40°, d 2.607, intensity 431; 38.49°, d 2.339, intensity 395; 47.55°, d 1.912, intensity 182; 56.67°, d 1.624, intensity 320; 57.39°, d 1.605, intensity 257; 59.30°, d 1.558, intensity 263; 60.00°, d 1.542, intensity 174

# 8
Theoretical X-ray powder pattern
Compound: NdTm2Ni9
Radiation: λ = 1.5418 Å (Cu Kα)
Structure: a GGA-PBE-relaxed structure
Kinematic intensities with the Lorentz-polarization factor, no thermal factor.

Cell and atoms:
Cell lengths 8.5647, 8.5647, 8.5647 Å; angles 33.82, 33.82, 33.82 degrees
Sites, in units of the cell vectors:
Nd (0.0000, 0.0000, 0.0000)
Tm (0.1402, 0.1402, 0.1402)
Tm (0.8598, 0.8598, 0.8598)
Ni (0.0819, 0.5847, 0.5847)
Ni (0.3331, 0.3331, 0.3331)
Ni (0.4153, 0.4153, 0.9181)
Ni (0.4153, 0.9181, 0.4153)
Ni (0.5000, 0.5000, 0.5000)
Ni (0.5847, 0.0819, 0.5847)
Ni (0.5847, 0.5847, 0.0819)
Ni (0.6669, 0.6669, 0.6669)
Ni (0.9181, 0.4153, 0.4153)

Main lines, by angle (2θ from 10° to 90°):
33.20°, d 2.698, intensity 456; 36.05°, d 2.491, intensity 517; 36.27°, d 2.477, intensity 348; 42.04°, d 2.149, intensity 362; 42.65°, d 2.120, intensity 1000; 46.06°, d 1.971, intensity 157; 46.32°, d 1.960, intensity 153; 63.02°, d 1.475, intensity 149; 69.37°, d 1.355, intensity 324; 76.46°, d 1.246, intensity 205

# 9
Theoretical X-ray powder pattern
Compound: NdTm3Ni
Radiation: λ = 1.5418 Å (Cu Kα)
Structure: a GGA-PBE-relaxed structure
Kinematic intensities with the Lorentz-polarization factor, no thermal factor.

Cell and atoms:
Cell lengths 7.9217, 7.2112, 9.8272 Å; angles 90.00, 107.37, 90.00 degrees
Sites, in units of the cell vectors:
Nd (0.1805, 0.0436, 0.2571)
Nd (0.1805, 0.4564, 0.7571)
Nd (0.8195, 0.5436, 0.2429)
Nd (0.8195, 0.9564, 0.7429)
Tm (0.0728, 0.7060, 0.0304)
Tm (0.0728, 0.7940, 0.5304)
Tm (0.2879, 0.5097, 0.3831)
Tm (0.2879, 0.9903, 0.8831)
Tm (0.4187, 0.1294, 0.6091)
Tm (0.4187, 0.3706, 0.1091)
Tm (0.5813, 0.6294, 0.8909)
Tm (0.5813, 0.8706, 0.3909)
Tm (0.7121, 0.0097, 0.1169)
Tm (0.7121, 0.4903, 0.6169)
Tm (0.9272, 0.2060, 0.4696)
Tm (0.9272, 0.2940, 0.9696)
Ni (0.4368, 0.7449, 0.6036)
Ni (0.4368, 0.7551, 0.1036)
Ni (0.5632, 0.2449, 0.8964)
Ni (0.5632, 0.2551, 0.3964)

Main lines, by angle (2θ from 10° to 90°):
28.08°, d 3.178, intensity 253; 30.15°, d 2.964, intensity 749; 30.63°, d 2.918, intensity 772; 31.35°, d 2.853, intensity 1000; 33.70°, d 2.660, intensity 377; 34.37°, d 2.609, intensity 495; 35.03°, d 2.562, intensity 608; 36.42°, d 2.467, intensity 226; 36.58°, d 2.457, intensity 362; 38.67°, d 2.328, intensity 318

# 10
Theoretical X-ray powder pattern
Compound: Nd3TmNi
Radiation: λ = 1.5418 Å (Cu Kα)
Structure: a GGA-PBE-relaxed structure
Kinematic intensities with the Lorentz-polarization factor, no thermal factor.

Cell and atoms:
Cell lengths 5.4595, 5.4595, 5.4595 Å; angles 90.00, 90.00, 90.00 degrees
Sites, in units of the cell vectors:
Nd (0.0000, 0.0000, 0.5000)
Nd (0.0000, 0.5000, 0.0000)
Nd (0.5000, 0.0000, 0.0000)
Tm (0.5000, 0.5000, 0.5000)
Ni (0.0000, 0.0000, 0.0000)

Main lines, by angle (2θ from 10° to 90°):
23.04°, d 3.860, intensity 69; 28.31°, d 3.152, intensity 1000; 32.81°, d 2.730, intensity 793; 47.08°, d 1.930, intensity 578; 55.85°, d 1.646, intensity 456; 58.57°, d 1.576, intensity 200; 68.78°, d 1.365, intensity 92; 75.98°, d 1.253, intensity 185; 78.32°, d 1.221, intensity 256; 87.54°, d 1.114, intensity 198

# 11
Theoretical X-ray powder pattern
Compound: Nd8Zn2Ni
Radiation: λ = 1.5418 Å (Cu Kα)
Structure: a GGA-PBE-relaxed structure
Kinematic intensities with the Lorentz-polarization factor, no thermal factor.

Cell and atoms:
Cell lengths 9.0471, 9.0471, 6.2968 Å; angles 103.67, 103.67, 129.80 degrees
Sites, in units of the cell vectors:
Nd (0.0000, 0.0000, 0.0000)
Nd (0.0747, 0.4711, 0.2079)
Nd (0.1177, 0.8895, 0.5267)
Nd (0.4322, 0.6661, 0.8706)
Nd (0.4711, 0.0747, 0.2079)
Nd (0.5400, 0.5400, 0.3547)
Nd (0.6661, 0.4322, 0.8706)
Nd (0.8895, 0.1177, 0.5267)
Zn (0.5518, 0.9961, 0.6974)
Zn (0.9961, 0.5518, 0.6974)
Ni (0.2802, 0.2802, 0.5175)

Main lines, by angle (2θ from 10° to 90°):
29.32°, d 3.046, intensity 434; 29.77°, d 3.001, intensity 214; 30.09°, d 2.970, intensity 386; 31.09°, d 2.876, intensity 895; 32.02°, d 2.795, intensity 1000; 36.06°, d 2.491, intensity 235; 37.17°, d 2.419, intensity 323; 39.41°, d 2.286, intensity 237; 48.77°, d 1.867, intensity 272; 53.15°, d 1.723, intensity 176

# 12
Theoretical X-ray powder pattern
Compound: Nd2Zn3Ni5
Radiation: λ = 1.5418 Å (Cu Kα)
Structure: a GGA-PBE-relaxed structure
Kinematic intensities with the Lorentz-polarization factor, no thermal factor.

Cell and atoms:
Cell lengths 8.3097, 8.3097, 8.3097 Å; angles 107.49, 85.27, 141.43 degrees
Sites, in units of the cell vectors:
Nd (0.1263, 0.2353, 0.3616)
Nd (0.3737, 0.7353, 0.1090)
Nd (0.6263, 0.2647, 0.8910)
Nd (0.8737, 0.7647, 0.6384)
Zn (0.1456, 0.9085, 0.0541)
Zn (0.2500, 0.7500, 0.5000)
Zn (0.3544, 0.4085, 0.7628)
Zn (0.6456, 0.5915, 0.2372)
Zn (0.7500, 0.2500, 0.5000)
Zn (0.8544, 0.0915, 0.9459)
Ni (0.0443, 0.7500, 0.2943)
Ni (0.1130, 0.6633, 0.7763)
Ni (0.2500, 0.2500, 0.0000)
Ni (0.3870, 0.1633, 0.5503)
Ni (0.4557, 0.7500, 0.7057)
Ni (0.5443, 0.2500, 0.2943)
Ni (0.6130, 0.8367, 0.4497)
Ni (0.7500, 0.7500, 0.0000)
Ni (0.8870, 0.3367, 0.2237)
Ni (0.9557, 0.2500, 0.7057)

Main lines, by angle (2θ from 10° to 90°):
29.22°, d 3.057, intensity 261; 34.56°, d 2.596, intensity 671; 35.12°, d 2.555, intensity 1000; 36.57°, d 2.457, intensity 164; 37.54°, d 2.396, intensity 694; 40.91°, d 2.206, intensity 186; 44.37°, d 2.042, intensity 780; 51.61°, d 1.771, intensity 227; 55.68°, d 1.651, intensity 283; 59.85°, d 1.545, intensity 203